Starting from DFT lattice parameters and positions (PBE), the X-ray diffraction stick pattern of InPBr2 was calculated for Cu Kα (λ = 1.5418 Å).

Main lines, by angle (10° ≤ 2θ ≤ 90°):
2θ 10.08, rel. 100, (0 0 1)
2θ 25.68, rel. 66, (1 1 -1)
2θ 27.48, rel. 48, (0 2 1)
2θ 27.80, rel. 94, (1 1 1)
2θ 32.78, rel. 48, (0 2 2)
2θ 45.06, rel. 47, (1 3 -1)

Cell and atoms:
```
data_InPBr2
_cell_length_a 4.239
_cell_length_b 6.985
_cell_length_c 8.847
_cell_angle_alpha 90.00
_cell_angle_beta 97.44
_cell_angle_gamma 90.00
_space_group_name_H-M_alt 'P 1'
_space_group_IT_number 1
loop_
_space_group_symop_operation_xyz
'x,y,z'
loop_
_atom_site_label
_atom_site_fract_x
_atom_site_fract_y
_atom_site_fract_z
In1 0.202 0.000 0.481
In2 0.798 0.500 0.519
P1 0.326 0.676 0.619
P2 0.674 0.176 0.381
Br1 0.002 0.190 0.732
Br2 0.462 0.694 0.871
Br3 0.538 0.194 0.129
Br4 0.998 0.690 0.268
```